1.
# TbMg11Cd
Computed powder diffractogram, copper Kα. Input: a cell relaxed with PBE.
Neutral-atom scattering factors, no anomalous dispersion.

Structure:
a = 7.770 Å, b = 7.770 Å, c = 7.722 Å
α = 98.16°, β = 98.16°, γ = 135.17°
Fractional coordinates of all 13 atoms:
Tb: 0.000 0.000 0.000
Mg: 0.000 0.000 0.500
Mg: 0.000 0.500 0.000
Mg: 0.001 0.349 0.352
Mg: 0.290 0.500 0.788
Mg: 0.349 0.001 0.352
Mg: 0.500 0.000 0.000
Mg: 0.500 0.290 0.788
Mg: 0.500 0.710 0.212
Mg: 0.651 0.999 0.648
Mg: 0.710 0.500 0.212
Mg: 0.999 0.651 0.648
Cd: 0.500 0.500 0.500

Top 10 peaks for 10° ≤ 2θ ≤ 80°, in order of rising 2θ:
2theta, d/Å, I/Imax
12.32, 7.183, 85.4
17.40, 5.097, 72.9
24.58, 3.621, 45.4
24.78, 3.593, 82.0
27.82, 3.207, 36.5
30.31, 2.949, 51.3
34.93, 2.568, 49.1
35.21, 2.549, 68.8
35.35, 2.539, 100.0
35.51, 2.528, 40.0

---

2.
# Ti2BeNi7Sb2
Computed powder diffractogram, copper Kα. Input: a cell relaxed with PBE.
Neutral-atom scattering factors, no anomalous dispersion.

Structure:
a = 14.701 Å, b = 14.701 Å, c = 14.701 Å
α = 166.73°, β = 166.73°, γ = 18.81°
Fractional coordinates of all 12 atoms:
Ti: 0.123 0.123 0.000
Ti: 0.877 0.877 0.000
Be: 0.500 0.500 0.000
Ni: 0.000 0.000 0.000
Ni: 0.061 0.561 0.500
Ni: 0.226 0.226 0.000
Ni: 0.439 0.939 0.500
Ni: 0.561 0.061 0.500
Ni: 0.774 0.774 0.000
Ni: 0.939 0.439 0.500
Sb: 0.314 0.314 0.000
Sb: 0.686 0.686 0.000

Top 10 peaks for 10° ≤ 2θ ≤ 80°, in order of rising 2θ:
2theta, d/Å, I/Imax
24.55, 3.626, 39.1
27.84, 3.205, 36.9
37.97, 2.370, 100.0
38.50, 2.338, 80.7
42.00, 2.151, 50.8
43.44, 2.083, 52.1
48.83, 1.865, 28.5
49.25, 1.850, 51.7
53.98, 1.699, 66.0
68.25, 1.374, 27.0

---

3.
# CeGdTc
Computed powder diffractogram, copper Kα. Input: a cell relaxed with PBE.
Neutral-atom scattering factors, no anomalous dispersion.

Structure:
a = 3.419 Å, b = 3.419 Å, c = 12.943 Å
α = 90.00°, β = 90.00°, γ = 90.00°
Fractional coordinates of all 6 atoms:
Ce: 0.000 0.000 0.000
Ce: 0.500 0.500 0.500
Gd: 0.000 0.000 0.738
Gd: 0.500 0.500 0.238
Tc: 0.000 0.000 0.380
Tc: 0.500 0.500 0.880

Top 10 peaks for 10° ≤ 2θ ≤ 80°, in order of rising 2θ:
2theta, d/Å, I/Imax
26.97, 3.306, 16.2
27.57, 3.236, 14.5
33.44, 2.680, 100.0
37.19, 2.418, 53.7
43.87, 2.064, 29.8
46.91, 1.937, 13.8
53.61, 1.710, 18.6
64.68, 1.441, 29.2
69.97, 1.345, 14.7
71.69, 1.317, 13.6

---

4.
# TlZn6Cd6
Computed powder diffractogram, copper Kα. Input: a cell relaxed with PBE.
Neutral-atom scattering factors, no anomalous dispersion.

Structure:
a = 7.361 Å, b = 7.361 Å, c = 7.361 Å
α = 135.10°, β = 100.46°, γ = 96.32°
Fractional coordinates of all 13 atoms:
Tl: 0.000 0.000 0.000
Zn: 0.000 0.000 0.500
Zn: 0.000 0.500 0.000
Zn: 0.237 0.737 0.500
Zn: 0.500 0.000 0.000
Zn: 0.500 0.500 0.500
Zn: 0.763 0.263 0.500
Cd: 0.185 0.500 0.685
Cd: 0.343 0.000 0.343
Cd: 0.345 0.345 0.000
Cd: 0.655 0.655 0.000
Cd: 0.657 0.000 0.657
Cd: 0.815 0.500 0.315

Top 10 peaks for 10° ≤ 2θ ≤ 80°, in order of rising 2θ:
2theta, d/Å, I/Imax
31.63, 2.829, 34.1
31.83, 2.811, 44.6
32.67, 2.741, 79.3
36.60, 2.455, 45.8
36.84, 2.440, 56.1
37.07, 2.425, 58.6
37.25, 2.414, 39.1
37.58, 2.393, 100.0
41.69, 2.166, 47.3
66.53, 1.405, 50.0

---

> What is the formula in the second record?

Ti2BeNi7Sb2